# TlCrSbF6
Computed XRD peak list, Cu Ka. Input: a crystal structure in Alexandria, relaxed with PBE+U.

Crystal structure
abc: 5.2371 5.7714 6.0892
angles: 114.78 90.35 90.18
Fractional coordinates of all 9 atoms:
Tl: 0.0000 0.0000 0.0000
Cr: 0.5492 0.3258 0.6835
Sb: 0.4910 0.6789 0.3403
F: 0.3474 0.3327 0.3216
F: 0.3497 0.5986 0.9493
F: 0.3806 0.0533 0.7478
F: 0.7152 0.6029 0.5936
F: 0.7539 0.0269 0.4417
F: 0.7784 0.4984 0.1216

The 6 most intense peaks (10 to 90 degrees two-theta), in order of rising 2θ:
| 2θ (°) | Rel. int. |
| --- | --- |
| 23.30 | 59 |
| 23.49 | 49 |
| 23.95 | 47 |
| 24.10 | 50 |
| 24.65 | 100 |
| 27.94 | 43 |